No. 1
Diffraction record for Dy3Er4Ni2Te2. The X-ray powder pattern is computed, not measured: it uses a DFT-relaxed cell (PBE, OQMD) and Cu Ka.
No peak broadening, texture or thermal motion is included.

Most intense lines, 2θ from 10° to 90°, sorted by position:
2θ/deg  intensity
29.0  23.1
30.3  22.6
30.5  51.1
33.1  79.9
34.2  100.0
34.7  74.4
36.8  22.6
38.7  19.5
47.5  29.1
59.1  37.1

Cell and atoms:
```
data_Dy3Er4Ni2Te2
_cell_length_a 9.3015
_cell_length_b 9.3015
_cell_length_c 9.3015
_cell_angle_alpha 156.24
_cell_angle_beta 66.90
_cell_angle_gamma 118.49
_space_group_name_H-M_alt 'P 1'
_space_group_IT_number 1
loop_
_space_group_symop_operation_xyz
'x,y,z'
loop_
_atom_site_label
_atom_site_type_symbol
_atom_site_fract_x
_atom_site_fract_y
_atom_site_fract_z
_atom_site_occupancy
Dy1 Dy 0.0000 0.0000 0.0000 1
Dy2 Dy 0.4492 0.5820 0.8672 1
Dy3 Dy 0.7148 0.5820 0.1328 1
Er1 Er 0.0641 0.3789 0.6852 1
Er2 Er 0.0831 0.7298 0.3533 1
Er3 Er 0.3764 0.7298 0.6467 1
Er4 Er 0.6937 0.3789 0.3148 1
Ni1 Ni 0.3083 0.0718 0.2365 1
Ni2 Ni 0.8352 0.0718 0.7635 1
Te1 Te 0.3360 0.3360 0.0000 1
Te2 Te 0.7355 0.2355 0.5000 1
```


No. 2
Diffraction record for Dy3Er4Ni2Te2. The X-ray powder pattern is computed, not measured: it uses a DFT-relaxed cell (PBE, OQMD) and Cu Ka.
No peak broadening, texture or thermal motion is included.

Most intense lines, 2θ from 10° to 90°, sorted by position:
2θ/deg  intensity
28.9  21.1
30.2  21.2
30.5  50.8
33.0  78.4
34.1  100.0
34.6  72.5
36.7  20.8
38.6  17.8
47.4  28.3
59.0  36.5

Cell and atoms:
```
data_Dy3Er4Ni2Te2
_cell_length_a 9.3282
_cell_length_b 9.3282
_cell_length_c 9.3282
_cell_angle_alpha 156.27
_cell_angle_beta 66.87
_cell_angle_gamma 118.52
_space_group_name_H-M_alt 'P 1'
_space_group_IT_number 1
loop_
_space_group_symop_operation_xyz
'x,y,z'
loop_
_atom_site_label
_atom_site_type_symbol
_atom_site_fract_x
_atom_site_fract_y
_atom_site_fract_z
_atom_site_occupancy
Dy1 Dy 0.0000 0.0000 0.0000 1
Dy2 Dy 0.0636 0.3784 0.6852 1
Dy3 Dy 0.6933 0.3784 0.3148 1
Er1 Er 0.0838 0.7301 0.3537 1
Er2 Er 0.3764 0.7301 0.6463 1
Er3 Er 0.4491 0.5818 0.8672 1
Er4 Er 0.7146 0.5818 0.1328 1
Ni1 Ni 0.3098 0.0722 0.2375 1
Ni2 Ni 0.8347 0.0722 0.7625 1
Te1 Te 0.3378 0.3378 0.0000 1
Te2 Te 0.7328 0.2328 0.5000 1
```


No. 3
Diffraction record for Dy2Er2Tm3Ni2Te2. The X-ray powder pattern is computed, not measured: it uses a DFT-relaxed cell (PBE, OQMD) and Cu Ka.
No peak broadening, texture or thermal motion is included.

Most intense lines, 2θ from 10° to 90°, sorted by position:
2θ/deg  intensity
29.1  23.9
30.3  23.2
30.5  51.8
33.1  80.5
34.3  100.0
34.7  74.0
36.8  23.6
47.6  29.8
51.5  27.8
59.2  37.2

Cell and atoms:
```
data_Dy2Er2Tm3Ni2Te2
_cell_length_a 9.2903
_cell_length_b 9.2903
_cell_length_c 9.2903
_cell_angle_alpha 156.24
_cell_angle_beta 67.00
_cell_angle_gamma 118.39
_space_group_name_H-M_alt 'P 1'
_space_group_IT_number 1
loop_
_space_group_symop_operation_xyz
'x,y,z'
loop_
_atom_site_label
_atom_site_type_symbol
_atom_site_fract_x
_atom_site_fract_y
_atom_site_fract_z
_atom_site_occupancy
Dy1 Dy 0.1331 0.0000 0.1331 1
Dy2 Dy 0.8669 0.0000 0.8669 1
Er1 Er 0.5004 0.1468 0.3536 1
Er2 Er 0.7932 0.1468 0.6464 1
Tm1 Tm 0.1120 0.7971 0.3149 1
Tm2 Tm 0.4179 0.4179 0.0000 1
Tm3 Tm 0.4822 0.7971 0.6851 1
Ni1 Ni 0.2529 0.4894 0.7634 1
Ni2 Ni 0.7260 0.4894 0.2366 1
Te1 Te 0.1545 0.6545 0.5000 1
Te2 Te 0.7536 0.7536 0.0000 1
```


No. 4
Diffraction record for Dy3Er2Tm2Ni2Te2. The X-ray powder pattern is computed, not measured: it uses a DFT-relaxed cell (PBE, OQMD) and Cu Ka.
No peak broadening, texture or thermal motion is included.

Most intense lines, 2θ from 10° to 90°, sorted by position:
2θ/deg  intensity
29.0  21.3
30.3  21.0
30.5  50.6
33.2  77.9
34.2  100.0
34.7  72.0
36.8  21.2
38.7  18.1
47.5  29.0
59.1  29.9

Cell and atoms:
```
data_Dy3Er2Tm2Ni2Te2
_cell_length_a 9.2929
_cell_length_b 9.2929
_cell_length_c 9.2929
_cell_angle_alpha 156.21
_cell_angle_beta 66.92
_cell_angle_gamma 118.48
_space_group_name_H-M_alt 'P 1'
_space_group_IT_number 1
loop_
_space_group_symop_operation_xyz
'x,y,z'
loop_
_atom_site_label
_atom_site_type_symbol
_atom_site_fract_x
_atom_site_fract_y
_atom_site_fract_z
_atom_site_occupancy
Dy1 Dy 0.0000 0.0000 0.0000 1
Dy2 Dy 0.0643 0.3789 0.6854 1
Dy3 Dy 0.6935 0.3789 0.3146 1
Er1 Er 0.4495 0.5826 0.8670 1
Er2 Er 0.7156 0.5826 0.1330 1
Tm1 Tm 0.0836 0.7301 0.3535 1
Tm2 Tm 0.3765 0.7301 0.6465 1
Ni1 Ni 0.3095 0.0721 0.2374 1
Ni2 Ni 0.8347 0.0721 0.7626 1
Te1 Te 0.3372 0.3372 0.0000 1
Te2 Te 0.7343 0.2343 0.5000 1
```


No. 5
Diffraction record for Dy2Er2Tm3Ni2Te2. The X-ray powder pattern is computed, not measured: it uses a DFT-relaxed cell (PBE, OQMD) and Cu Ka.
No peak broadening, texture or thermal motion is included.

Most intense lines, 2θ from 10° to 90°, sorted by position:
2θ/deg  intensity
29.1  23.8
30.4  22.4
30.6  51.7
33.3  79.4
34.3  100.0
34.8  73.1
36.9  22.9
38.8  19.0
47.6  29.6
59.3  30.5

Cell and atoms:
```
data_Dy2Er2Tm3Ni2Te2
_cell_length_a 9.2685
_cell_length_b 9.2685
_cell_length_c 9.2685
_cell_angle_alpha 156.20
_cell_angle_beta 66.89
_cell_angle_gamma 118.53
_space_group_name_H-M_alt 'P 1'
_space_group_IT_number 1
loop_
_space_group_symop_operation_xyz
'x,y,z'
loop_
_atom_site_label
_atom_site_type_symbol
_atom_site_fract_x
_atom_site_fract_y
_atom_site_fract_z
_atom_site_occupancy
Dy1 Dy 0.1331 0.0000 0.1331 1
Dy2 Dy 0.8669 0.0000 0.8669 1
Er1 Er 0.1110 0.7964 0.3147 1
Er2 Er 0.4817 0.7964 0.6853 1
Tm1 Tm 0.4171 0.4171 0.0000 1
Tm2 Tm 0.5008 0.1473 0.3536 1
Tm3 Tm 0.7937 0.1473 0.6464 1
Ni1 Ni 0.2518 0.4891 0.7626 1
Ni2 Ni 0.7265 0.4891 0.2374 1
Te1 Te 0.1524 0.6524 0.5000 1
Te2 Te 0.7541 0.7541 0.0000 1
```


No. 6
Diffraction record for Dy4Er2TmNi2Te2. The X-ray powder pattern is computed, not measured: it uses a DFT-relaxed cell (PBE, OQMD) and Cu Ka.
No peak broadening, texture or thermal motion is included.

Most intense lines, 2θ from 10° to 90°, sorted by position:
2θ/deg  intensity
28.9  23.0
30.2  23.1
30.4  51.5
33.0  80.1
34.1  100.0
34.6  73.5
36.6  23.1
47.4  29.0
51.2  27.4
58.9  37.0

Cell and atoms:
```
data_Dy4Er2TmNi2Te2
_cell_length_a 9.3373
_cell_length_b 9.3373
_cell_length_c 9.3373
_cell_angle_alpha 156.29
_cell_angle_beta 66.98
_cell_angle_gamma 118.39
_space_group_name_H-M_alt 'P 1'
_space_group_IT_number 1
loop_
_space_group_symop_operation_xyz
'x,y,z'
loop_
_atom_site_label
_atom_site_type_symbol
_atom_site_fract_x
_atom_site_fract_y
_atom_site_fract_z
_atom_site_occupancy
Dy1 Dy 0.1330 0.0000 0.1330 1
Dy2 Dy 0.5006 0.1468 0.3538 1
Dy3 Dy 0.7930 0.1468 0.6462 1
Dy4 Dy 0.8670 0.0000 0.8670 1
Er1 Er 0.1127 0.7974 0.3153 1
Er2 Er 0.4821 0.7974 0.6847 1
Tm1 Tm 0.4177 0.4177 0.0000 1
Ni1 Ni 0.2520 0.4891 0.7629 1
Ni2 Ni 0.7262 0.4891 0.2371 1
Te1 Te 0.1546 0.6546 0.5000 1
Te2 Te 0.7541 0.7541 0.0000 1
```